No. 1
This entry pairs a crystal structure of Tb5Dy3In with its calculated powder diffraction line list. Radiation: Cu Kα (λ = 1.5418 Å). Structure: a DFT-relaxed cell (PBE, Alexandria).
Neutral-atom scattering factors, no anomalous dispersion.

Structural model:
Cell: 7.812 7.812 11.387 Å, 94.96 94.96 60.15°
Element x y z (fractional)
Tb 0.005 0.005 0.369
Tb 0.161 0.585 0.241
Tb 0.168 0.832 0.000
Tb 0.261 0.261 0.965
Tb 0.415 0.839 0.759
Tb 0.585 0.161 0.241
Tb 0.739 0.739 0.035
Tb 0.832 0.168 0.000
Tb 0.839 0.415 0.759
Tb 0.995 0.995 0.631
Dy 0.165 0.165 0.215
Dy 0.237 0.237 0.526
Dy 0.500 0.500 0.000
Dy 0.500 0.500 0.500
Dy 0.763 0.763 0.474
Dy 0.835 0.835 0.785
In 0.403 0.403 0.743
In 0.597 0.597 0.257

Principal peaks in the range 2θ = 10–90°, by angle:
2theta  I/Imax
22.71  46
27.66  55
27.90  100
29.50  72
31.53  58
31.59  56
32.28  88
35.20  51

No. 2
This entry pairs a crystal structure of Zr2NpF11 with its calculated powder diffraction line list. Radiation: Cu Kα (λ = 1.5418 Å). Structure: a DFT-relaxed cell (PBE, Alexandria).
Neutral-atom scattering factors, no anomalous dispersion.

Structural model:
Cell: 8.510 8.510 8.510 Å, 124.65 106.21 98.75°
Element x y z (fractional)
Zr 0.181 0.134 0.315
Zr 0.319 0.634 0.952
Zr 0.681 0.366 0.048
Zr 0.819 0.866 0.685
Np 0.250 0.750 0.500
Np 0.750 0.250 0.500
F 0.000 0.000 0.000
F 0.046 0.467 0.786
F 0.052 0.866 0.656
F 0.181 0.967 0.421
F 0.210 0.396 0.344
F 0.219 0.871 0.091
F 0.281 0.371 0.652
F 0.290 0.634 0.186
F 0.319 0.740 0.786
F 0.448 0.104 0.814
F 0.454 0.240 0.421
F 0.500 0.500 0.000
F 0.546 0.760 0.579
F 0.552 0.896 0.186
F 0.681 0.260 0.214
F 0.710 0.366 0.814
F 0.719 0.629 0.348
F 0.781 0.129 0.909
F 0.790 0.604 0.656
F 0.819 0.033 0.579
F 0.948 0.134 0.344
F 0.954 0.533 0.214

Principal peaks in the range 2θ = 10–90°, by angle:
2theta  I/Imax
14.17  43
21.43  100
23.69  54
25.47  20
28.54  31
43.65  42
46.56  23
48.90  27

No. 3
This entry pairs a crystal structure of MoRu2Au with its calculated powder diffraction line list. Radiation: Cu Kα (λ = 1.5418 Å). Structure: a DFT-relaxed cell (PBE, Alexandria).
Neutral-atom scattering factors, no anomalous dispersion.

Structural model:
Cell: 9.401 9.401 9.401 Å, 16.99 16.99 16.99°
Element x y z (fractional)
Mo 0.000 0.000 0.000
Ru 0.255 0.255 0.255
Ru 0.745 0.745 0.745
Au 0.500 0.500 0.500

Principal peaks in the range 2θ = 10–90°, by angle:
2theta  I/Imax
38.89  33
39.66  100
45.89  64
66.39  19
67.45  21
79.70  11
80.68  24
81.17  12

No. 4
This entry pairs a crystal structure of LaReO4 with its calculated powder diffraction line list. Radiation: Cu Kα (λ = 1.5418 Å). Structure: a DFT-relaxed cell (PBE, Alexandria).
Neutral-atom scattering factors, no anomalous dispersion.

Structural model:
Cell: 6.378 6.378 6.378 Å, 107.34 107.34 113.83°
Element x y z (fractional)
La 0.375 0.625 0.750
La 0.625 0.375 0.250
Re 0.125 0.875 0.250
Re 0.875 0.125 0.750
O 0.118 0.690 0.428
O 0.237 0.310 0.928
O 0.310 0.237 0.428
O 0.310 0.882 0.072
O 0.690 0.118 0.928
O 0.690 0.763 0.572
O 0.763 0.690 0.072
O 0.882 0.310 0.572

Principal peaks in the range 2θ = 10–90°, by angle:
2theta  I/Imax
23.54  100
30.65  83
33.54  28
46.06  66
48.16  16
54.28  16
58.17  19
68.85  16

No. 5
This entry pairs a crystal structure of Dy3NbO7 with its calculated powder diffraction line list. Radiation: Cu Kα (λ = 1.5418 Å). Structure: a DFT-relaxed cell (PBE, Alexandria).
Neutral-atom scattering factors, no anomalous dispersion.

Structural model:
Cell: 5.365 7.634 8.254 Å, 62.96 87.93 87.96°
Element x y z (fractional)
Dy 0.000 0.000 0.000
Dy 0.000 0.500 0.000
Dy 0.467 0.137 0.248
Dy 0.472 0.618 0.242
Dy 0.528 0.382 0.758
Dy 0.533 0.863 0.752
Nb 0.001 0.282 0.479
Nb 0.999 0.718 0.521
O 0.215 0.854 0.295
O 0.226 0.445 0.535
O 0.236 0.067 0.548
O 0.239 0.388 0.241
O 0.246 0.244 0.977
O 0.247 0.655 0.709
O 0.261 0.779 0.977
O 0.739 0.221 0.023
O 0.753 0.345 0.291
O 0.754 0.756 0.023
O 0.761 0.612 0.759
O 0.764 0.933 0.452
O 0.774 0.555 0.465
O 0.785 0.146 0.705

Principal peaks in the range 2θ = 10–90°, by angle:
2theta  I/Imax
28.23  57
29.19  100
29.79  51
33.44  22
33.71  23
34.04  25
47.40  17
47.99  17

No. 6
This entry pairs a crystal structure of BaSr3Hg2 with its calculated powder diffraction line list. Radiation: Cu Kα (λ = 1.5418 Å). Structure: a DFT-relaxed cell (PBE, Alexandria).
Neutral-atom scattering factors, no anomalous dispersion.

Structural model:
Cell: 4.087 4.087 14.497 Å, 90.00 90.00 90.00°
Element x y z (fractional)
Ba 0.000 0.000 0.000
Sr 0.500 0.500 0.233
Sr 0.500 0.500 0.500
Sr 0.500 0.500 0.767
Hg 0.000 0.000 0.359
Hg 0.000 0.000 0.641

Principal peaks in the range 2θ = 10–90°, by angle:
2theta  I/Imax
18.36  21
21.74  17
28.60  100
30.94  65
33.03  41
44.31  29
53.61  35
56.38  18

What did the fifth record say?
This entry pairs a crystal structure of Dy3NbO7 with its calculated powder diffraction line list. Radiation: Cu Kα (λ = 1.5418 Å). Structure: a DFT-relaxed cell (PBE, Alexandria).
Neutral-atom scattering factors, no anomalous dispersion.

Structural model:
Cell: 5.365 7.634 8.254 Å, 62.96 87.93 87.96°
Element x y z (fractional)
Dy 0.000 0.000 0.000
Dy 0.000 0.500 0.000
Dy 0.467 0.137 0.248
Dy 0.472 0.618 0.242
Dy 0.528 0.382 0.758
Dy 0.533 0.863 0.752
Nb 0.001 0.282 0.479
Nb 0.999 0.718 0.521
O 0.215 0.854 0.295
O 0.226 0.445 0.535
O 0.236 0.067 0.548
O 0.239 0.388 0.241
O 0.246 0.244 0.977
O 0.247 0.655 0.709
O 0.261 0.779 0.977
O 0.739 0.221 0.023
O 0.753 0.345 0.291
O 0.754 0.756 0.023
O 0.761 0.612 0.759
O 0.764 0.933 0.452
O 0.774 0.555 0.465
O 0.785 0.146 0.705

Principal peaks in the range 2θ = 10–90°, by angle:
2theta  I/Imax
28.23  57
29.19  100
29.79  51
33.44  22
33.71  23
34.04  25
47.40  17
47.99  17